Simulated powder X-ray diffraction pattern
Compound: CsK2LaV2O8
Radiation: CuKα
Structure: a crystal structure in Alexandria, relaxed with PBE+U
No peak broadening, texture or thermal motion is included.

Cell and atoms:
```
data_CsK2LaV2O8
_chemical_formula_sum 'Cs2 K4 La2 V4 O16'
_symmetry_space_group_name_H-M 'P 1 21/m 1'
_symmetry_Int_Tables_number 11
_cell_length_a 7.951
_cell_length_b 6.154
_cell_length_c 10.200
_cell_angle_alpha 90.00
_cell_angle_beta 91.97
_cell_angle_gamma 90.00
loop_
_symmetry_equiv_pos_as_xyz
'x,y,z'
'-x,-y,-z'
'-x,y+1/2,-z'
'x,-y+1/2,z'
loop_
_atom_site_label
_atom_site_type_symbol
_atom_site_fract_x
_atom_site_fract_y
_atom_site_fract_z
_atom_site_occupancy
Cs1 Cs 0.123 0.250 0.408 1
K1 K 0.007 0.750 0.188 1
K2 K 0.302 0.750 0.913 1
La1 La 0.494 0.250 0.714 1
V1 V 0.263 0.250 0.081 1
V2 V 0.318 0.750 0.573 1
O1 O 0.047 0.250 0.087 1
O2 O 0.220 0.750 0.417 1
O3 O 0.268 0.518 0.664 1
O4 O 0.321 0.250 0.917 1
O5 O 0.343 0.014 0.159 1
O6 O 0.472 0.250 0.464 1
```

Main lines, in order of rising 2θ (15° ≤ 2θ ≤ 90°):
hkl 1 1 -1, d 4.427, 2θ = 20.06°, rel. 26.3; hkl 1 1 1, d 4.356, 2θ = 20.39°, rel. 45.6; hkl 1 1 -2, d 3.557, 2θ = 25.03°, rel. 26.8; hkl 2 0 -2, d 3.187, 2θ = 28.00°, rel. 45.9; hkl 2 1 1, d 3.145, 2θ = 28.37°, rel. 82.6; hkl 0 2 0, d 3.078, 2θ = 29.01°, rel. 82.9; hkl 0 1 3, d 2.975, 2θ = 30.04°, rel. 100.0; hkl 2 2 -2, d 2.214, 2θ = 40.76°, rel. 27.6; hkl 2 2 -3, d 1.998, 2θ = 45.39°, rel. 24.8; hkl 0 3 3, d 1.756, 2θ = 52.10°, rel. 26.0